Record 1
# Ag5HgSbO6
Theoretical powder diffractogram, copper Kα. Input: a cell relaxed with PBE.

Main lines, in order of rising 2θ (5 to 70 degrees two-theta):
hkl 1 1 0, 30.04°, I 43
hkl 2 -1 2, 33.40°, I 69
hkl 1 0 4, 33.70°, I 100
hkl 2 0 0, 34.82°, I 35
hkl 2 0 2, 37.80°, I 82
hkl 1 1 6, 53.96°, I 32
hkl 3 -1 4, 55.71°, I 48
hkl 2 2 0, 62.43°, I 25

Cell and atoms:
```
data_Ag5HgSbO6
_space_group_name_H-M_alt 'P -3 1 c'
_space_group_IT_number 163
_space_group_name_Hall '-P 3 2c'
_cell_length_a 5.9500
_cell_length_b 5.9500
_cell_length_c 12.4213
_cell_angle_alpha 90.00
_cell_angle_beta 90.00
_cell_angle_gamma 120.00
loop_
_atom_site_label
_atom_site_type_symbol
_atom_site_fract_x
_atom_site_fract_y
_atom_site_fract_z
Ag1 Ag 0.0000 0.0000 0.1163
Ag2 Ag 0.0000 0.5000 0.0000
Hg1 Hg 0.3333 0.6667 0.2500
Sb1 Sb 0.3333 0.6667 0.7500
O1 O 0.0455 0.3927 0.8420
```

***

Record 2
# AgHgSeO
Theoretical powder diffractogram, copper Kα. Input: a cell relaxed with PBE.

Main lines, in order of rising 2θ (5 to 70 degrees two-theta):
hkl 1 0 1, 21.14°, I 49
hkl 1 1 0, 25.30°, I 44
hkl 1 1 1, 27.78°, I 42
hkl 1 0 2, 29.00°, I 80
hkl 0 0 3, 34.26°, I 100
hkl 2 0 0, 36.08°, I 87
hkl 2 1 2, 46.94°, I 44
hkl 2 2 3, 63.72°, I 39

Cell and atoms:
```
data_AgHgSeO
_space_group_name_H-M_alt 'P 4/n m m'
_space_group_IT_number 129
_cell_length_a 4.9783
_cell_length_b 4.9783
_cell_length_c 7.8379
_cell_angle_alpha 90.00
_cell_angle_beta 90.00
_cell_angle_gamma 90.00
loop_
_space_group_symop_operation_xyz
'x,y,z'
'-x,-y,-z'
'-y+1/2,x,z'
'y+1/2,-x,-z'
'-x+1/2,-y+1/2,z'
'x+1/2,y+1/2,-z'
'y,-x+1/2,z'
'-y,x+1/2,-z'
'x+1/2,-y,-z'
'-x+1/2,y,z'
'-y,-x,-z'
'y,x,z'
'-x,y+1/2,-z'
'x,-y+1/2,z'
'y+1/2,x+1/2,-z'
'-y+1/2,-x+1/2,z'
loop_
_atom_site_label
_atom_site_type_symbol
_atom_site_fract_x
_atom_site_fract_y
_atom_site_fract_z
Ag1 Ag 0.2500 0.7500 0.0000
Hg1 Hg 0.2500 0.2500 0.3137
Se1 Se 0.2500 0.2500 0.8769
O1 O 0.2500 0.2500 0.6597
```